No. 1
Simulated powder diffraction line list
Compound: TcSb2H5
Radiation: Cu Kα
Structure: the GGA-PBE geometry in Alexandria
Peak positions follow from Bragg's law for the DFT cell and can differ from measured ones.

Top 6 peaks for 2θ = 15–90°, by intensity:
2θ/deg  d_spacing  I_rel
27.4  3.257  1000
20.4  4.359  816
41.4  2.180  771
21.4  4.152  603
39.7  2.269  532
37.0  2.429  521

Cell and atoms:
```
data_TcSb2H5
_space_group_name_H-M_alt 'P 1'
_space_group_IT_number 1
_space_group_name_Hall 'P 1'
_cell_length_a 4.733
_cell_length_b 4.877
_cell_length_c 4.949
_cell_angle_alpha 88.85
_cell_angle_beta 61.77
_cell_angle_gamma 85.00
loop_
_atom_site_label
_atom_site_type_symbol
_atom_site_fract_x
_atom_site_fract_y
_atom_site_fract_z
Tc1 Tc 0.000 0.000 0.000
Sb1 Sb 0.116 0.463 0.632
Sb2 Sb 0.686 0.908 0.622
H1 H 0.135 0.236 0.139
H2 H 0.223 0.853 0.149
H3 H 0.618 0.939 0.145
H4 H 0.726 0.264 0.164
H5 H 0.977 0.652 0.045
```

No. 2
Simulated powder diffraction line list
Compound: SbTe2H
Radiation: Cu Kα
Structure: the GGA-PBE geometry in Alexandria
Peak positions follow from Bragg's law for the DFT cell and can differ from measured ones.

Top 6 peaks for 2θ = 15–90°, by intensity:
2θ/deg  d_spacing  I_rel
26.4  3.372  1000
26.7  3.344  551
35.0  2.567  411
40.6  2.220  360
34.1  2.628  237
45.5  1.995  215

Cell and atoms:
```
data_SbTe2H
_space_group_name_H-M_alt 'P 1 c 1'
_space_group_IT_number 7
_space_group_name_Hall 'P -2yc'
_cell_length_a 7.161
_cell_length_b 4.322
_cell_length_c 7.771
_cell_angle_alpha 90.00
_cell_angle_beta 92.79
_cell_angle_gamma 90.00
loop_
_atom_site_label
_atom_site_type_symbol
_atom_site_fract_x
_atom_site_fract_y
_atom_site_fract_z
Sb1 Sb 0.000 0.209 0.000
Te1 Te 0.282 0.255 0.308
Te2 Te 0.768 0.265 0.631
H1 H 0.375 0.089 0.751
```

No. 3
Simulated powder diffraction line list
Compound: U2SbTeH2
Radiation: Cu Kα
Structure: the GGA-PBE geometry in Alexandria
Peak positions follow from Bragg's law for the DFT cell and can differ from measured ones.

Top 6 peaks for 2θ = 15–90°, by intensity:
2θ/deg  d_spacing  I_rel
28.0  3.186  1000
33.5  2.674  935
45.7  1.984  435
41.3  2.188  363
64.2  1.451  320
57.9  1.593  197

Cell and atoms:
```
data_U2SbTeH2
_space_group_name_H-M_alt 'P -3 m 1'
_space_group_IT_number 164
_space_group_name_Hall '-P 3 2"'
_cell_length_a 3.9676
_cell_length_b 3.9676
_cell_length_c 8.5160
_cell_angle_alpha 90.00
_cell_angle_beta 90.00
_cell_angle_gamma 120.00
loop_
_atom_site_label
_atom_site_type_symbol
_atom_site_fract_x
_atom_site_fract_y
_atom_site_fract_z
U1 U 0.3333 0.6667 0.2545
Sb1 Sb 0.0000 0.0000 0.5000
Te1 Te 0.0000 0.0000 0.0000
H1 H 0.3333 0.6667 0.7501
```

No. 4
Simulated powder diffraction line list
Compound: Th4SbH5
Radiation: Cu Kα
Structure: the GGA-PBE geometry in Alexandria
Peak positions follow from Bragg's law for the DFT cell and can differ from measured ones.

Top 6 peaks for 2θ = 15–90°, by intensity:
2θ/deg  d_spacing  I_rel
29.7  3.010  1000
24.7  3.599  584
30.3  2.952  446
31.1  2.879  265
35.5  2.532  251
34.3  2.612  237

Cell and atoms:
```
data_Th4SbH5
_space_group_name_H-M_alt 'P m m n'
_space_group_IT_number 59
_cell_length_a 7.351
_cell_length_b 9.908
_cell_length_c 5.238
_cell_angle_alpha 90.00
_cell_angle_beta 90.00
_cell_angle_gamma 90.00
loop_
_space_group_symop_operation_xyz
'x,y,z'
'-x,-y,-z'
'-x+1/2,-y+1/2,z'
'x+1/2,y+1/2,-z'
'x+1/2,-y,-z'
'-x+1/2,y,z'
'-x,y+1/2,-z'
'x,-y+1/2,z'
loop_
_atom_site_label
_atom_site_type_symbol
_atom_site_fract_x
_atom_site_fract_y
_atom_site_fract_z
Th1 Th 0.004 0.250 0.098
Th2 Th 0.250 0.548 0.439
Sb1 Sb 0.250 0.250 0.605
H1 H 0.020 0.534 0.740
H2 H 0.250 0.750 0.182
```